Theoretical powder diffractogram of Pm2VCrO6 for Cu Kα X-rays, from a crystal structure in Alexandria, relaxed with PBE+U.
Peak positions follow from Bragg's law for the DFT cell and can differ from measured ones.

Structural model:
```
data_Pm2VCrO6
_chemical_formula_sum 'Pm2 V1 Cr1 O6'
_symmetry_space_group_name_H-M 'P 4 m m'
_symmetry_Int_Tables_number 99
_cell_length_a 5.4873
_cell_length_b 5.4873
_cell_length_c 4.0978
_cell_angle_alpha 90.00
_cell_angle_beta 90.00
_cell_angle_gamma 90.00
loop_
_symmetry_equiv_pos_as_xyz
'x,y,z'
'-y,x,z'
'-x,-y,z'
'y,-x,z'
'-x,y,z'
'y,x,z'
'x,-y,z'
'-y,-x,z'
loop_
_atom_site_label
_atom_site_type_symbol
_atom_site_fract_x
_atom_site_fract_y
_atom_site_fract_z
_atom_site_occupancy
Pm1 Pm 0.0000 0.5000 0.0000 1
V1 V 0.0000 0.0000 0.5765 1
Cr1 Cr 0.5000 0.5000 0.5759 1
O1 O 0.0000 0.0000 0.0868 1
O2 O 0.2510 0.2510 0.6273 1
O3 O 0.5000 0.5000 0.0935 1
```

Peak list (10 most intense, 5 to 70 degrees two-theta, low angle first)
| Position (°2θ) | I/Imax | index |
| --- | --- | --- |
| 21.7 | 19 | 0 0 1 |
| 22.9 | 20 | 1 1 0 |
| 31.8 | 100 | 1 1 1 |
| 32.6 | 48 | 2 0 0 |
| 39.5 | 32 | 2 0 1 |
| 46.8 | 31 | 2 2 0 |
| 50.4 | 13 | 1 1 2 |
| 56.0 | 21 | 2 0 2 |
| 57.7 | 36 | 3 1 1 |
| 66.4 | 14 | 2 2 2 |